Theoretical X-ray powder pattern of Tl5Ag4 for a wavelength of 1.5418 Å, from a GGA-PBE-relaxed structure.
Kinematic intensities with the Lorentz-polarization factor, no thermal factor.

The 12 most intense peaks (2θ = 5–70°), most intense first:
| d/Å | 2theta | I (rel.) |
| --- | --- | --- |
| 2.624 | 34.17 | 100.0 |
| 2.562 | 35.02 | 90.3 |
| 1.833 | 49.73 | 31.5 |
| 1.491 | 62.27 | 26.9 |
| 1.373 | 68.29 | 25.7 |
| 2.653 | 33.78 | 18.0 |
| 1.479 | 62.81 | 11.7 |
| 3.667 | 24.27 | 11.0 |
| 1.627 | 56.58 | 10.1 |
| 1.351 | 69.61 | 7.3 |
| 1.418 | 65.86 | 7.0 |
| 3.254 | 27.41 | 5.8 |

Cell and atoms:
abc: 8.8768 8.8768 6.5075
angles: 90.00 90.00 120.00
Space group P6_3/mcm (No. 193)
Unique sites:
Tl1 0.0000 0.2981 0.2500 (multiplicity 6)
Tl2 0.3333 0.6667 0.0000 (multiplicity 4)
Ag1 0.0000 0.0000 0.0000 (multiplicity 2)
Ag2 0.0000 0.3620 0.7500 (multiplicity 6)

Theoretical X-ray powder pattern of Te2WSN for a wavelength of 1.5418 Å, from a GGA-PBE-relaxed structure.
Kinematic intensities with the Lorentz-polarization factor, no thermal factor.

The 12 most intense peaks (2θ = 5–70°), most intense first:
| d/Å | 2theta | I (rel.) |
| --- | --- | --- |
| 2.684 | 33.39 | 100.0 |
| 3.812 | 23.33 | 70.7 |
| 2.194 | 41.14 | 65.8 |
| 5.366 | 16.52 | 55.8 |
| 3.108 | 28.73 | 47.0 |
| 1.554 | 59.49 | 33.2 |
| 1.897 | 47.95 | 31.9 |
| 1.698 | 53.99 | 30.4 |
| 2.031 | 44.62 | 28.7 |
| 1.345 | 69.97 | 20.3 |
| 1.906 | 47.71 | 16.2 |
| 2.400 | 37.48 | 15.2 |

Cell and atoms:
abc: 5.3657 5.3657 3.8123
angles: 90.00 90.00 90.00
Space group P4/mmm (No. 123)
Unique sites:
Te1 0.0000 0.5000 0.0000 (multiplicity 2)
W1 0.0000 0.0000 0.0000 (multiplicity 1)
S1 0.5000 0.5000 0.5000 (multiplicity 1)
N1 0.0000 0.0000 0.5000 (multiplicity 1)

Theoretical X-ray powder pattern of NaAlI4 for a wavelength of 1.5418 Å, from a GGA-PBE-relaxed structure.
Kinematic intensities with the Lorentz-polarization factor, no thermal factor.

The 12 most intense peaks (2θ = 5–70°), most intense first:
| d/Å | 2theta | I (rel.) |
| --- | --- | --- |
| 3.833 | 23.21 | 100.0 |
| 3.622 | 24.58 | 27.2 |
| 2.258 | 39.92 | 24.5 |
| 3.119 | 28.62 | 23.6 |
| 6.138 | 14.43 | 21.9 |
| 2.130 | 42.45 | 17.9 |
| 2.479 | 36.23 | 14.0 |
| 1.980 | 45.84 | 13.2 |
| 2.561 | 35.03 | 12.4 |
| 1.802 | 50.65 | 11.8 |
| 2.888 | 30.96 | 11.3 |
| 1.737 | 52.69 | 8.4 |

Cell and atoms:
abc: 7.2443 7.2443 11.5532
angles: 90.00 90.00 90.00
Space group I-4 (No. 82)
Unique sites:
Na1 0.0000 0.0000 0.0000 (multiplicity 2)
Al1 0.0000 0.5000 0.2500 (multiplicity 2)
I1 0.1880 0.7264 0.3744 (multiplicity 8)

Theoretical X-ray powder pattern of YB12 for a wavelength of 1.5418 Å, from a GGA-PBE-relaxed structure.
Kinematic intensities with the Lorentz-polarization factor, no thermal factor.

The 10 most intense peaks (2θ = 5–70°), most intense first:
| d/Å | 2theta | I (rel.) |
| --- | --- | --- |
| 2.262 | 39.85 | 100.0 |
| 3.751 | 23.72 | 62.7 |
| 4.332 | 20.50 | 59.0 |
| 2.166 | 41.70 | 30.3 |
| 1.531 | 60.45 | 27.1 |
| 1.721 | 53.22 | 26.7 |
| 2.653 | 33.79 | 26.5 |
| 1.678 | 54.71 | 15.1 |
| 1.876 | 48.54 | 9.5 |
| 1.444 | 64.54 | 8.9 |

Cell and atoms:
abc: 7.5025 7.5025 7.5025
angles: 90.00 90.00 90.00
Space group Fm-3m (No. 225)
Unique sites:
Y1 0.0000 0.0000 0.0000 (multiplicity 4)
B1 0.0000 0.1687 0.3313 (multiplicity 48)